Starting from a DFT-relaxed cell (PBE, Alexandria), the powder XRD pattern of RbSbIO6 was simulated for Cu Kα X-rays.

Atomic structure:
```
RbSbIO6
1.0
5.4432 0.0000 0.0000
-2.7216 4.7139 0.0000
0.0000 0.0000 6.4343
Rb Sb I O
1 1 1 6
Direct
0.0000 0.0000 0.0000
0.3333 0.6667 0.5000
0.6667 0.3333 0.5000
0.9995 0.3909 0.6776
0.9995 0.6086 0.3224
0.3914 0.0005 0.6776
0.3914 0.3909 0.3224
0.6091 0.0005 0.3224
0.6091 0.6086 0.6776
```

Top 8 peaks for 5° ≤ 2θ ≤ 70°, in order of rising 2θ:
(hkl)	two_theta	d_spacing	I (rel.)
0 0 1	13.76	6.434	52
1 0 1	23.39	3.803	100
0 0 2	27.73	3.217	16
1 1 0	32.91	2.722	36
2 -1 1	35.82	2.507	17
2 0 1	40.77	2.213	17
2 -1 2	43.56	2.078	52
3 -1 1	53.36	1.717	20